Record 1
Computed XRD peak list of V6O7F5 for Cu Kα, 1.54184 Å, from a DFT-relaxed cell (PBE+U, Alexandria).

Peak list (8 most intense, 5 to 70 degrees two-theta, by intensity)
2theta, I (rel.)
27.4, 100
26.6, 97
34.8, 76
52.4, 31
34.5, 24
67.6, 21
59.5, 19
54.7, 19

Structural model:
```
data_V6O7F5
_cell_length_a 4.6482
_cell_length_b 5.6012
_cell_length_c 7.8278
_cell_angle_alpha 86.24
_cell_angle_beta 88.96
_cell_angle_gamma 88.44
_space_group_name_H-M_alt 'P 1'
_space_group_IT_number 1
loop_
_space_group_symop_operation_xyz
'x,y,z'
loop_
_atom_site_label
_atom_site_type_symbol
_atom_site_fract_x
_atom_site_fract_y
_atom_site_fract_z
V1 V 0.0000 0.0000 0.0000
V2 V 0.0023 0.3516 0.6885
V3 V 0.0397 0.6786 0.3682
V4 V 0.5143 0.5054 0.0268
V5 V 0.5297 0.1704 0.3386
V6 V 0.5319 0.8262 0.6922
O1 O 0.2265 0.6378 0.5901
O2 O 0.3177 0.4657 0.2510
O3 O 0.3253 0.8010 0.9150
O4 O 0.7110 0.8762 0.4513
O5 O 0.7166 0.5474 0.7920
O6 O 0.7274 0.2095 0.1078
O7 O 0.8071 0.0439 0.7706
F1 F 0.2190 0.2989 0.9113
F2 F 0.2216 0.9727 0.2415
F3 F 0.3097 0.1361 0.5800
F4 F 0.8142 0.3763 0.4530
F5 F 0.8253 0.7073 0.1295
```

***

Record 2
Computed XRD peak list of V4O7F5 for Cu Kα, 1.54184 Å, from a DFT-relaxed cell (PBE+U, Alexandria).

Peak list (8 most intense, 5 to 70 degrees two-theta, by intensity)
2theta, I (rel.)
20.8, 100
25.4, 75
22.8, 72
32.6, 17
18.7, 16
52.1, 15
26.4, 15
33.5, 14

Structural model:
```
data_V4O7F5
_cell_length_a 5.3734
_cell_length_b 5.3738
_cell_length_c 9.4127
_cell_angle_alpha 84.64
_cell_angle_beta 81.91
_cell_angle_gamma 61.93
_space_group_name_H-M_alt 'P 1'
_space_group_IT_number 1
loop_
_space_group_symop_operation_xyz
'x,y,z'
loop_
_atom_site_label
_atom_site_type_symbol
_atom_site_fract_x
_atom_site_fract_y
_atom_site_fract_z
V1 V 0.0000 0.0000 0.0000
V2 V 0.0516 0.5652 0.4870
V3 V 0.3703 0.3472 0.7926
V4 V 0.6108 0.6620 0.2369
O1 O 0.1962 0.6783 0.8462
O2 O 0.2400 0.1525 0.8974
O3 O 0.3146 0.3375 0.6150
O4 O 0.4328 0.9646 0.3076
O5 O 0.8086 0.2542 0.1148
O6 O 0.9214 0.5120 0.3265
O7 O 0.9735 0.8899 0.4972
F1 F 0.3082 0.7351 0.1077
F2 F 0.4223 0.4773 0.3549
F3 F 0.7439 0.1843 0.8357
F4 F 0.7642 0.5507 0.6052
F5 F 0.7860 0.7731 0.0666
```

***

Record 3
Computed XRD peak list of V6O5F19 for Cu Kα, 1.54184 Å, from a DFT-relaxed cell (PBE+U, Alexandria).

Peak list (8 most intense, 5 to 70 degrees two-theta, by intensity)
2theta, I (rel.)
18.2, 100
24.6, 90
25.0, 89
46.6, 14
47.5, 14
40.7, 13
36.9, 13
32.3, 13

Structural model:
```
data_V6O5F19
_cell_length_a 5.3865
_cell_length_b 5.5404
_cell_length_c 14.8640
_cell_angle_alpha 79.34
_cell_angle_beta 89.77
_cell_angle_gamma 88.93
_space_group_name_H-M_alt 'P 1'
_space_group_IT_number 1
loop_
_space_group_symop_operation_xyz
'x,y,z'
loop_
_atom_site_label
_atom_site_type_symbol
_atom_site_fract_x
_atom_site_fract_y
_atom_site_fract_z
V1 V 0.0000 0.0000 0.0000
V2 V 0.0092 0.4294 0.3356
V3 V 0.1389 0.7398 0.6778
V4 V 0.5025 0.4921 0.0114
V5 V 0.5304 0.9037 0.3401
V6 V 0.6353 0.1928 0.6669
O1 O 0.3121 0.2691 0.0373
O2 O 0.3664 0.9227 0.6932
O3 O 0.7934 0.8177 0.9741
O4 O 0.8060 0.6583 0.3148
O5 O 0.8663 0.0077 0.6484
F1 F 0.1268 0.4216 0.2247
F2 F 0.1331 0.7575 0.5579
F3 F 0.1417 0.1165 0.8933
F4 F 0.2746 0.7615 0.0281
F5 F 0.2799 0.1187 0.3646
F6 F 0.2914 0.4406 0.6979
F7 F 0.2917 0.6253 0.3564
F8 F 0.4619 0.5900 0.8920
F9 F 0.4776 0.9535 0.2209
F10 F 0.4787 0.2603 0.5602
F11 F 0.6238 0.8163 0.4556
F12 F 0.6328 0.1560 0.7876
F13 F 0.6388 0.5117 0.1183
F14 F 0.7794 0.1718 0.3213
F15 F 0.7858 0.4850 0.6506
F16 F 0.7937 0.3016 0.9836
F17 F 0.9627 0.9818 0.1196
F18 F 0.9800 0.3378 0.4555
F19 F 0.9815 0.6787 0.7844
```

***

Record 4
Computed XRD peak list of V3O4F2 for Cu Kα, 1.54184 Å, from a DFT-relaxed cell (PBE+U, Alexandria).

Peak list (8 most intense, 5 to 70 degrees two-theta, by intensity)
2theta, I (rel.)
27.1, 100
52.8, 30
34.7, 25
55.9, 17
53.1, 15
34.6, 14
53.2, 13
39.8, 12

Structural model:
```
data_V3O4F2
_cell_length_a 5.6161
_cell_length_b 4.6566
_cell_length_c 7.7265
_cell_angle_alpha 90.00
_cell_angle_beta 92.95
_cell_angle_gamma 90.00
_space_group_name_H-M_alt 'P 1'
_space_group_IT_number 1
loop_
_space_group_symop_operation_xyz
'x,y,z'
loop_
_atom_site_label
_atom_site_type_symbol
_atom_site_fract_x
_atom_site_fract_y
_atom_site_fract_z
V1 V 0.0847 0.0000 0.3472
V2 V 0.2649 0.5350 0.0042
V3 V 0.3925 0.0440 0.6894
V4 V 0.6075 0.5440 0.3106
V5 V 0.7351 0.0350 0.9958
V6 V 0.9153 0.5000 0.6528
O1 O 0.1217 0.8279 0.5756
O2 O 0.2104 0.3193 0.7725
O3 O 0.2963 0.7126 0.2359
O4 O 0.4455 0.8305 0.8939
O5 O 0.5545 0.3305 0.1061
O6 O 0.7037 0.2126 0.7641
O7 O 0.7896 0.8193 0.2275
O8 O 0.8783 0.3279 0.4244
F1 F 0.0587 0.2116 0.1013
F2 F 0.3924 0.2265 0.4431
F3 F 0.6076 0.7265 0.5569
F4 F 0.9413 0.7116 0.8987
```

***

Record 5
Computed XRD peak list of V2OF5 for Cu Kα, 1.54184 Å, from a DFT-relaxed cell (PBE+U, Alexandria).

Peak list (8 most intense, 5 to 70 degrees two-theta, by intensity)
2theta, I (rel.)
28.5, 100
20.8, 55
54.4, 41
41.5, 40
46.9, 22
60.8, 19
65.6, 17
64.3, 8

Structural model:
```
data_V2OF5
_cell_length_a 8.5365
_cell_length_b 8.5365
_cell_length_c 4.6236
_cell_angle_alpha 90.00
_cell_angle_beta 90.00
_cell_angle_gamma 120.00
_space_group_name_H-M_alt 'P 1'
_space_group_IT_number 1
loop_
_space_group_symop_operation_xyz
'x,y,z'
loop_
_atom_site_label
_atom_site_type_symbol
_atom_site_fract_x
_atom_site_fract_y
_atom_site_fract_z
V1 V 0.0029 0.3355 0.0000
V2 V 0.0084 0.6851 0.4765
V3 V 0.3149 0.3232 0.4765
V4 V 0.3326 0.9971 0.0000
V5 V 0.6645 0.6674 0.0000
V6 V 0.6768 0.9916 0.4765
O1 O 0.1177 0.8690 0.2592
O2 O 0.1310 0.2487 0.2592
O3 O 0.7513 0.8823 0.2592
F1 F 0.0979 0.5499 0.2555
F2 F 0.2171 0.7822 0.7496
F3 F 0.2178 0.4349 0.7496
F4 F 0.2376 0.1217 0.7492
F5 F 0.4343 0.2157 0.2508
F6 F 0.4501 0.5480 0.2555
F7 F 0.4520 0.9021 0.2555
F8 F 0.5345 0.4508 0.7406
F9 F 0.5492 0.0837 0.7406
F10 F 0.5651 0.7829 0.7496
F11 F 0.7814 0.5657 0.2508
F12 F 0.7843 0.2186 0.2508
F13 F 0.8783 0.1159 0.7492
F14 F 0.8841 0.7624 0.7492
F15 F 0.9163 0.4655 0.7406
```

***

Record 6
Computed XRD peak list of VOF2 for Cu Kα, 1.54184 Å, from a DFT-relaxed cell (PBE+U, Alexandria).

Peak list (8 most intense, 5 to 70 degrees two-theta, by intensity)
2theta, I (rel.)
23.6, 100
23.4, 46
48.3, 21
53.7, 18
39.5, 12
47.8, 11
33.3, 11
54.0, 9

Structural model:
```
data_VOF2
_cell_length_a 11.9739
_cell_length_b 11.9739
_cell_length_c 5.4145
_cell_angle_alpha 102.09
_cell_angle_beta 102.09
_cell_angle_gamma 25.36
_space_group_name_H-M_alt 'P 1'
_space_group_IT_number 1
loop_
_space_group_symop_operation_xyz
'x,y,z'
loop_
_atom_site_label
_atom_site_type_symbol
_atom_site_fract_x
_atom_site_fract_y
_atom_site_fract_z
V1 V 0.0817 0.0817 0.1182
V2 V 0.2479 0.2542 0.2698
V3 V 0.4207 0.4096 0.3815
V4 V 0.5904 0.5793 0.6185
V5 V 0.7458 0.7521 0.7302
V6 V 0.9183 0.9183 0.8818
O1 O 0.1266 0.7278 0.6544
O2 O 0.2722 0.8734 0.3456
O3 O 0.4926 0.0295 0.4875
O4 O 0.6453 0.1652 0.1709
O5 O 0.8348 0.3547 0.8291
O6 O 0.9705 0.5074 0.5125
F1 F 0.1743 0.6965 0.1642
F2 F 0.2190 0.4481 0.3188
F3 F 0.2252 0.1071 0.1492
F4 F 0.3035 0.8257 0.8358
F5 F 0.4710 0.0558 0.9838
F6 F 0.5519 0.7810 0.6812
F7 F 0.5594 0.4406 0.5000
F8 F 0.5938 0.2051 0.6720
F9 F 0.7949 0.4062 0.3280
F10 F 0.8819 0.1181 0.0000
F11 F 0.8929 0.7748 0.8508
F12 F 0.9442 0.5290 0.0162
```